[1]
The following is a computed XRD peak list of Pt5Rh2. It was derived from a DFT-relaxed cell (GGA-PBE, Alexandria), using CuKα.
Kinematic intensities with the Lorentz-polarization factor, no thermal factor.

Most intense lines, 2θ = 5–70°, sorted by position:
hkl 0 0 1, 6.172 Å, intensity 2
hkl 0 1 0, 4.353 Å, intensity 3
hkl 0 1 1, 3.342 Å, intensity 2
hkl 1 0 -1, 3.179 Å, intensity 3
hkl -1 1 1, 3.022 Å, intensity 1
hkl 1 0 2, 2.273 Å, intensity 100
hkl 1 -2 1, 2.268 Å, intensity 33
hkl 0 2 1, 1.969 Å, intensity 44
hkl 2 -1 0, 1.964 Å, intensity 22
hkl 0 1 4, 1.393 Å, intensity 14
hkl 2 1 1, 1.390 Å, intensity 21
hkl 2 -2 3, 1.389 Å, intensity 7

Structural model:
```
data_Pt5Rh2
_chemical_formula_sum 'Pt5 Rh2'
_cell_length_a 3.929
_cell_length_b 4.813
_cell_length_c 6.234
_cell_angle_alpha 97.37
_cell_angle_beta 90.15
_cell_angle_gamma 113.97
_symmetry_space_group_name_H-M 'P -1'
_symmetry_Int_Tables_number 2
loop_
_symmetry_equiv_pos_as_xyz
'x,y,z'
'-x,-y,-z'
loop_
_atom_site_label
_atom_site_type_symbol
_atom_site_fract_x
_atom_site_fract_y
_atom_site_fract_z
Pt1 Pt 0.000 0.000 0.000
Pt2 Pt 0.144 0.288 0.428
Pt3 Pt 0.429 0.857 0.281
Rh1 Rh 0.284 0.569 0.860
```

[2]
The following is a computed XRD peak list of PtRh4. It was derived from a DFT-relaxed cell (GGA-PBE, Alexandria), using CuKα.
Kinematic intensities with the Lorentz-polarization factor, no thermal factor.

Most intense lines, 2θ = 5–70°, sorted by position:
hkl 0 0 2, 6.858 Å, intensity 6
hkl 0 1 1, 3.709 Å, intensity 4
hkl 0 0 4, 3.429 Å, intensity 1
hkl 0 1 3, 2.946 Å, intensity 3
hkl 1 0 1, 2.683 Å, intensity 2
hkl 1 0 3, 2.348 Å, intensity 1
hkl 1 1 0, 2.233 Å, intensity 100
hkl 1 0 5, 1.937 Å, intensity 32
hkl 0 2 0, 1.926 Å, intensity 16
hkl 0 0 10, 1.372 Å, intensity 5
hkl 2 0 0, 1.368 Å, intensity 5
hkl 1 2 5, 1.366 Å, intensity 20

Structural model:
```
data_PtRh4
_chemical_formula_sum 'Pt2 Rh8'
_cell_length_a 2.736
_cell_length_b 3.853
_cell_length_c 13.717
_cell_angle_alpha 90.00
_cell_angle_beta 90.00
_cell_angle_gamma 90.00
_symmetry_space_group_name_H-M 'I m m m'
_symmetry_Int_Tables_number 71
_symmetry_space_group_name_Hall '-I 2 2'
loop_
_atom_site_label
_atom_site_type_symbol
_atom_site_fract_x
_atom_site_fract_y
_atom_site_fract_z
Pt1 Pt 0.000 0.000 0.000
Rh1 Rh 0.000 0.000 0.201
Rh2 Rh 0.000 0.000 0.398
```

[3]
The following is a computed XRD peak list of Pt13Rh3. It was derived from a DFT-relaxed cell (GGA-PBE, Alexandria), using CuKα.
Kinematic intensities with the Lorentz-polarization factor, no thermal factor.

Most intense lines, 2θ = 5–70°, sorted by position:
hkl 0 1 1, 6.762 Å, intensity 3
hkl 0 2 0, 4.782 Å, intensity 2
hkl 0 3 1, 3.024 Å, intensity 2
hkl 2 1 1, 2.529 Å, intensity 1
hkl 0 4 0, 2.391 Å, intensity 70
hkl 2 0 2, 2.369 Å, intensity 1
hkl 0 3 3, 2.254 Å, intensity 1
hkl 2 2 2, 2.123 Å, intensity 100
hkl 2 1 3, 2.025 Å, intensity 1
hkl 0 4 4, 1.691 Å, intensity 25
hkl 2 5 1, 1.545 Å, intensity 1
hkl 4 0 0, 1.363 Å, intensity 6

Structural model:
```
data_Pt13Rh3
_chemical_formula_sum 'Pt26 Rh6'
_cell_length_a 5.454
_cell_length_b 9.564
_cell_length_c 9.562
_cell_angle_alpha 90.00
_cell_angle_beta 90.00
_cell_angle_gamma 90.00
_symmetry_space_group_name_H-M 'A m m 2'
_symmetry_Int_Tables_number 38
loop_
_symmetry_equiv_pos_as_xyz
'x,y,z'
'-x,-y,z'
'-x,y,z'
'x,-y,z'
'x,y+1/2,z+1/2'
'-x,-y+1/2,z+1/2'
'-x,y+1/2,z+1/2'
'x,-y+1/2,z+1/2'
loop_
_atom_site_label
_atom_site_type_symbol
_atom_site_fract_x
_atom_site_fract_y
_atom_site_fract_z
Pt1 Pt 0.000 0.000 0.000
Pt2 Pt 0.000 0.000 0.493
Pt3 Pt 0.000 0.247 0.247
Pt4 Pt 0.251 0.000 0.748
Pt5 Pt 0.251 0.248 0.997
Pt6 Pt 0.500 0.000 0.493
Pt7 Pt 0.500 0.247 0.247
Rh1 Rh 0.251 0.000 0.245
Rh2 Rh 0.500 0.000 0.000
```

[4]
The following is a computed XRD peak list of Pt3Rh8. It was derived from a DFT-relaxed cell (GGA-PBE, Alexandria), using CuKα.
Kinematic intensities with the Lorentz-polarization factor, no thermal factor.

Most intense lines, 2θ = 5–70°, sorted by position:
hkl 0 0 6, 4.559 Å, intensity 4
hkl 0 1 3, 3.987 Å, intensity 11
hkl 0 1 5, 3.445 Å, intensity 5
hkl 0 0 8, 3.419 Å, intensity 5
hkl 1 1 2, 2.276 Å, intensity 10
hkl 1 0 7, 2.223 Å, intensity 51
hkl 0 2 0, 2.217 Å, intensity 53
hkl 1 1 4, 2.187 Å, intensity 100
hkl 0 1 11, 2.169 Å, intensity 96
hkl 1 2 7, 1.570 Å, intensity 34
hkl 1 0 15, 1.512 Å, intensity 15
hkl 2 0 0, 1.351 Å, intensity 11

Structural model:
```
data_Pt3Rh8
_chemical_formula_sum 'Pt6 Rh16'
_cell_length_a 2.703
_cell_length_b 4.434
_cell_length_c 27.353
_cell_angle_alpha 90.00
_cell_angle_beta 90.00
_cell_angle_gamma 90.00
_symmetry_space_group_name_H-M 'I m m m'
_symmetry_Int_Tables_number 71
_symmetry_space_group_name_Hall '-I 2 2'
loop_
_atom_site_label
_atom_site_type_symbol
_atom_site_fract_x
_atom_site_fract_y
_atom_site_fract_z
Pt1 Pt 0.000 0.000 0.000
Pt2 Pt 0.000 0.500 0.140
Rh1 Rh 0.000 0.000 0.266
Rh2 Rh 0.000 0.000 0.454
Rh3 Rh 0.000 0.500 0.318
Rh4 Rh 0.000 0.500 0.409
```

[5]
The following is a computed XRD peak list of Pt3Rh4. It was derived from a DFT-relaxed cell (GGA-PBE, Alexandria), using CuKα.
Kinematic intensities with the Lorentz-polarization factor, no thermal factor.

Most intense lines, 2θ = 5–70°, sorted by position:
hkl 0 0 1, 6.022 Å, intensity 31
hkl 1 1 0, 2.646 Å, intensity 30
hkl 1 1 -1, 2.514 Å, intensity 54
hkl 3 1 -1, 2.285 Å, intensity 86
hkl 4 0 1, 2.278 Å, intensity 100
hkl 2 0 -3, 2.217 Å, intensity 99
hkl 6 0 -2, 2.114 Å, intensity 88
hkl 1 1 -2, 2.092 Å, intensity 48
hkl 3 1 1, 1.942 Å, intensity 44
hkl 1 1 2, 1.897 Å, intensity 43
hkl 5 1 -1, 1.880 Å, intensity 28
hkl 5 1 0, 1.777 Å, intensity 22

Structural model:
```
data_Pt3Rh4
_chemical_formula_sum 'Pt6 Rh8'
_cell_length_a 13.042
_cell_length_b 2.715
_cell_length_c 6.686
_cell_angle_alpha 90.00
_cell_angle_beta 115.75
_cell_angle_gamma 90.00
_symmetry_space_group_name_H-M 'C 1 2/m 1'
_symmetry_Int_Tables_number 12
loop_
_symmetry_equiv_pos_as_xyz
'x,y,z'
'-x,-y,-z'
'-x,y,-z'
'x,-y,z'
'x+1/2,y+1/2,z'
'-x+1/2,-y+1/2,-z'
'-x+1/2,y+1/2,-z'
'x+1/2,-y+1/2,z'
loop_
_atom_site_label
_atom_site_type_symbol
_atom_site_fract_x
_atom_site_fract_y
_atom_site_fract_z
Pt1 Pt 0.000 0.000 0.000
Pt2 Pt 0.225 0.000 0.162
Rh1 Rh 0.078 0.000 0.700
Rh2 Rh 0.125 0.500 0.396
```

[6]
The following is a computed XRD peak list of Ru3Pt2Rh6. It was derived from a DFT-relaxed cell (GGA-PBE, Alexandria), using CuKα.
Kinematic intensities with the Lorentz-polarization factor, no thermal factor.

Most intense lines, 2θ = 5–70°, sorted by position:
hkl 0 0 1, 5.520 Å, intensity 2
hkl 0 1 -1, 4.911 Å, intensity 3
hkl 1 0 0, 4.443 Å, intensity 2
hkl 1 1 -1, 3.446 Å, intensity 2
hkl 1 1 0, 3.166 Å, intensity 2
hkl 1 0 1, 3.025 Å, intensity 1
hkl 1 2 -2, 2.232 Å, intensity 34
hkl 0 2 1, 2.225 Å, intensity 100
hkl 2 1 0, 1.928 Å, intensity 65
hkl 3 1 -3, 1.366 Å, intensity 14
hkl 3 -2 1, 1.363 Å, intensity 14
hkl 1 1 3, 1.362 Å, intensity 14

Structural model:
```
data_Ru3Pt2Rh6
_chemical_formula_sum 'Ru3 Pt2 Rh6'
_cell_length_a 4.721
_cell_length_b 6.104
_cell_length_c 6.107
_cell_angle_alpha 107.68
_cell_angle_beta 105.06
_cell_angle_gamma 97.34
_symmetry_space_group_name_H-M 'P -1'
_symmetry_Int_Tables_number 2
loop_
_symmetry_equiv_pos_as_xyz
'x,y,z'
'-x,-y,-z'
loop_
_atom_site_label
_atom_site_type_symbol
_atom_site_fract_x
_atom_site_fract_y
_atom_site_fract_z
Ru1 Ru 0.000 0.000 0.000
Ru2 Ru 0.367 0.281 0.452
Pt1 Pt 0.091 0.817 0.362
Rh1 Rh 0.182 0.641 0.728
Rh2 Rh 0.277 0.453 0.095
Rh3 Rh 0.458 0.089 0.820
```

[7]
The following is a computed XRD peak list of RuPtRh5. It was derived from a DFT-relaxed cell (GGA-PBE, Alexandria), using CuKα.
Kinematic intensities with the Lorentz-polarization factor, no thermal factor.

Most intense lines, 2θ = 5–70°, sorted by position:
hkl 0 0 1, 7.374 Å, intensity 16
hkl 1 0 0, 3.837 Å, intensity 12
hkl 1 0 2, 2.659 Å, intensity 9
hkl 1 1 1, 2.547 Å, intensity 14
hkl 0 0 3, 2.458 Å, intensity 6
hkl 1 1 2, 2.185 Å, intensity 100
hkl 2 0 0, 1.919 Å, intensity 34
hkl 0 0 4, 1.844 Å, intensity 14
hkl 2 1 0, 1.716 Å, intensity 3
hkl 2 1 2, 1.556 Å, intensity 4
hkl 2 0 3, 1.512 Å, intensity 5
hkl 2 2 0, 1.357 Å, intensity 11

Structural model:
```
data_RuPtRh5
_chemical_formula_sum 'Ru1 Pt1 Rh5'
_cell_length_a 3.837
_cell_length_b 3.837
_cell_length_c 7.374
_cell_angle_alpha 90.00
_cell_angle_beta 90.00
_cell_angle_gamma 90.00
_symmetry_space_group_name_H-M 'P 4/m m m'
_symmetry_Int_Tables_number 123
_symmetry_space_group_name_Hall '-P 4 2'
loop_
_atom_site_label
_atom_site_type_symbol
_atom_site_fract_x
_atom_site_fract_y
_atom_site_fract_z
Ru1 Ru 0.000 0.000 0.000
Pt1 Pt 0.000 0.000 0.500
Rh1 Rh 0.000 0.500 0.232
Rh2 Rh 0.500 0.500 0.500
```

[8]
The following is a computed XRD peak list of RuPt2Rh. It was derived from a DFT-relaxed cell (GGA-PBE, Alexandria), using CuKα.
Kinematic intensities with the Lorentz-polarization factor, no thermal factor.

Most intense lines, 2θ = 5–70°, sorted by position:
hkl 0 0 1, 4.709 Å, intensity 11
hkl 2 0 -1, 3.577 Å, intensity 7
hkl 2 0 1, 3.010 Å, intensity 7
hkl 1 1 0, 2.630 Å, intensity 8
hkl 2 0 -2, 2.253 Å, intensity 100
hkl 1 1 1, 2.249 Å, intensity 100
hkl 2 0 2, 1.954 Å, intensity 32
hkl 3 1 -1, 1.947 Å, intensity 65
hkl 1 1 -2, 1.800 Å, intensity 3
hkl 5 1 0, 1.508 Å, intensity 3
hkl 6 0 -2, 1.379 Å, intensity 52
hkl 0 2 0, 1.375 Å, intensity 10

Structural model:
```
data_RuPt2Rh
_chemical_formula_sum 'Ru2 Pt4 Rh2'
_cell_length_a 9.152
_cell_length_b 2.750
_cell_length_c 4.780
_cell_angle_alpha 90.00
_cell_angle_beta 99.85
_cell_angle_gamma 90.00
_symmetry_space_group_name_H-M 'C 1 m 1'
_symmetry_Int_Tables_number 8
loop_
_symmetry_equiv_pos_as_xyz
'x,y,z'
'x,-y,z'
'x+1/2,y+1/2,z'
'x+1/2,-y+1/2,z'
loop_
_atom_site_label
_atom_site_type_symbol
_atom_site_fract_x
_atom_site_fract_y
_atom_site_fract_z
Ru1 Ru 0.000 0.000 0.000
Pt1 Pt 0.251 0.000 0.750
Pt2 Pt 0.496 0.000 0.493
Rh1 Rh 0.243 0.500 0.236
```